Record 1
The following is a theoretical X-ray powder pattern of Hf2TiHgN. It was derived from a crystal structure in Alexandria, relaxed with GGA-PBE, using Cu Kα (λ = 1.5418 Å).

The 6 most intense peaks (2θ from 5° to 70°), in order of rising 2θ:
- 29.3 deg, d = 3.047 Å, I 13, hkl 1 0 1
- 35.7 deg, d = 2.516 Å, I 100, hkl 1 1 1
- 40.4 deg, d = 2.231 Å, I 39, hkl 2 0 0
- 43.4 deg, d = 2.085 Å, I 16, hkl 0 0 2
- 58.5 deg, d = 1.578 Å, I 13, hkl 2 2 0
- 60.8 deg, d = 1.523 Å, I 23, hkl 2 0 2

Structural model:
```
data_Hf2TiHgN
_cell_length_a 4.463
_cell_length_b 4.463
_cell_length_c 4.170
_cell_angle_alpha 90.00
_cell_angle_beta 90.00
_cell_angle_gamma 90.00
_symmetry_space_group_name_H-M 'P 4/m m m'
_symmetry_Int_Tables_number 123
_symmetry_space_group_name_Hall '-P 4 2'
loop_
_atom_site_label
_atom_site_fract_x
_atom_site_fract_y
_atom_site_fract_z
Hf1 0.000 0.500 0.000
Ti1 0.000 0.000 0.500
Hg1 0.500 0.500 0.500
N1 0.000 0.000 0.000
```

---

Record 2
The following is a theoretical X-ray powder pattern of HfHg2O4. It was derived from a crystal structure in Alexandria, relaxed with GGA-PBE, using Cu Kα (λ = 1.5418 Å).

The 6 most intense peaks (2θ from 5° to 70°), in order of rising 2θ:
- 30.3 deg, d = 2.949 Å, I 69, hkl 1 1 0
- 31.3 deg, d = 2.859 Å, I 100, hkl 1 0 3
- 43.4 deg, d = 2.085 Å, I 38, hkl 2 0 0
- 54.5 deg, d = 1.685 Å, I 44, hkl 2 1 3
- 56.3 deg, d = 1.634 Å, I 17, hkl 1 1 6
- 65.3 deg, d = 1.429 Å, I 13, hkl 2 0 6

Structural model:
```
data_HfHg2O4
_cell_length_a 4.171
_cell_length_b 4.171
_cell_length_c 11.777
_cell_angle_alpha 90.00
_cell_angle_beta 90.00
_cell_angle_gamma 90.00
_symmetry_space_group_name_H-M 'I 4/m m m'
_symmetry_Int_Tables_number 139
_symmetry_space_group_name_Hall '-I 4 2'
loop_
_atom_site_label
_atom_site_fract_x
_atom_site_fract_y
_atom_site_fract_z
Hf1 0.000 0.000 0.000
Hg1 0.000 0.000 0.352
O1 0.000 0.000 0.174
O2 0.000 0.500 0.000
```

---

Record 3
The following is a theoretical X-ray powder pattern of Hf2HgP. It was derived from a crystal structure in Alexandria, relaxed with GGA-PBE, using Cu Kα (λ = 1.5418 Å).

The 6 most intense peaks (2θ from 5° to 70°), in order of rising 2θ:
- 33.1 deg, d = 2.703 Å, I 100, hkl 1 0 4
- 35.4 deg, d = 2.538 Å, I 34, hkl 0 1 5
- 43.9 deg, d = 2.064 Å, I 32, hkl 0 1 8
- 51.1 deg, d = 1.788 Å, I 33, hkl 1 1 0
- 62.2 deg, d = 1.492 Å, I 31, hkl 0 2 4
- 64.4 deg, d = 1.446 Å, I 21, hkl 1 1 9

Structural model:
```
data_Hf2HgP
_cell_length_a 3.5755
_cell_length_b 3.5755
_cell_length_c 22.1496
_cell_angle_alpha 90.00
_cell_angle_beta 90.00
_cell_angle_gamma 120.00
_symmetry_space_group_name_H-M 'R -3 m'
_symmetry_Int_Tables_number 166
_symmetry_space_group_name_Hall '-R 3 2"'
loop_
_atom_site_label
_atom_site_fract_x
_atom_site_fract_y
_atom_site_fract_z
Hf1 0.0000 0.0000 0.2329
Hg1 0.0000 0.0000 0.0000
P1 0.0000 0.0000 0.5000
```

---

Record 4
The following is a theoretical X-ray powder pattern of HfHgPS6. It was derived from a crystal structure in Alexandria, relaxed with GGA-PBE, using Cu Kα (λ = 1.5418 Å).

The 6 most intense peaks (2θ from 5° to 70°), in order of rising 2θ:
- 12.3 deg, d = 7.171 Å, I 100, hkl 0 0 1
- 16.9 deg, d = 5.240 Å, I 44, hkl 1 1 0
- 17.1 deg, d = 5.171 Å, I 32, hkl 0 1 -1
- 17.8 deg, d = 4.971 Å, I 33, hkl 1 1 1
- 19.3 deg, d = 4.599 Å, I 31, hkl 0 1 1
- 23.7 deg, d = 3.750 Å, I 35, hkl 1 -1 1

Structural model:
```
data_HfHgPS6
_cell_length_a 6.322
_cell_length_b 7.102
_cell_length_c 7.816
_cell_angle_alpha 88.15
_cell_angle_beta 67.50
_cell_angle_gamma 69.57
_symmetry_space_group_name_H-M 'P 1'
_symmetry_Int_Tables_number 1
loop_
_symmetry_equiv_pos_as_xyz
'x,y,z'
loop_
_atom_site_label
_atom_site_fract_x
_atom_site_fract_y
_atom_site_fract_z
Hf1 0.000 0.000 0.000
Hg1 0.616 0.474 0.776
P1 0.444 0.016 0.104
S1 0.187 0.890 0.245
S2 0.270 0.214 0.957
S3 0.291 0.733 0.732
S4 0.558 0.167 0.249
S5 0.771 0.790 0.940
S6 0.990 0.208 0.736
```

---

Record 5
The following is a theoretical X-ray powder pattern of HfHgPd5. It was derived from a crystal structure in Alexandria, relaxed with GGA-PBE, using Cu Kα (λ = 1.5418 Å).

The 6 most intense peaks (2θ from 5° to 70°), in order of rising 2θ:
- 34.9 deg, d = 2.572 Å, I 41, hkl 0 0 4
- 38.0 deg, d = 2.368 Å, I 40, hkl 0 2 2
- 39.3 deg, d = 2.292 Å, I 80, hkl 3 1 2
- 39.3 deg, d = 2.291 Å, I 59, hkl 2 0 -4
- 40.0 deg, d = 2.256 Å, I 100, hkl 2 2 -1
- 40.7 deg, d = 2.217 Å, I 49, hkl 1 1 4

Structural model:
```
data_HfHgPd5
_cell_length_a 9.048
_cell_length_b 5.336
_cell_length_c 10.303
_cell_angle_alpha 90.00
_cell_angle_beta 93.20
_cell_angle_gamma 90.00
_symmetry_space_group_name_H-M 'C 1 2/c 1'
_symmetry_Int_Tables_number 15
loop_
_symmetry_equiv_pos_as_xyz
'x,y,z'
'-x,-y,-z'
'-x,y,-z+1/2'
'x,-y,z+1/2'
'x+1/2,y+1/2,z'
'-x+1/2,-y+1/2,-z'
'-x+1/2,y+1/2,-z+1/2'
'x+1/2,-y+1/2,z+1/2'
loop_
_atom_site_label
_atom_site_fract_x
_atom_site_fract_y
_atom_site_fract_z
Hf1 0.000 0.159 0.250
Hg1 0.000 0.500 0.000
Pd1 0.000 0.333 0.750
Pd2 0.149 0.052 0.557
Pd3 0.245 0.412 0.178
```

---

Record 6
The following is a theoretical X-ray powder pattern of PmHfHg2. It was derived from a crystal structure in Alexandria, relaxed with GGA-PBE, using Cu Kα (λ = 1.5418 Å).

The 6 most intense peaks (2θ from 5° to 70°), in order of rising 2θ:
- 34.5 deg, d = 2.596 Å, I 100, hkl 1 0 2
- 35.4 deg, d = 2.537 Å, I 51, hkl 1 1 0
- 48.4 deg, d = 1.881 Å, I 8, hkl 0 0 4
- 50.9 deg, d = 1.794 Å, I 18, hkl 2 0 0
- 61.4 deg, d = 1.511 Å, I 15, hkl 1 1 4
- 63.0 deg, d = 1.476 Å, I 36, hkl 2 1 2

Structural model:
```
data_PmHfHg2
_cell_length_a 3.588
_cell_length_b 3.588
_cell_length_c 7.524
_cell_angle_alpha 90.00
_cell_angle_beta 90.00
_cell_angle_gamma 90.00
_symmetry_space_group_name_H-M 'P 4/m m m'
_symmetry_Int_Tables_number 123
_symmetry_space_group_name_Hall '-P 4 2'
loop_
_atom_site_label
_atom_site_fract_x
_atom_site_fract_y
_atom_site_fract_z
Pm1 0.000 0.000 0.000
Hf1 0.000 0.000 0.500
Hg1 0.500 0.500 0.280
```

---

Record 7
The following is a theoretical X-ray powder pattern of Hf6Hg2Rh. It was derived from a crystal structure in Alexandria, relaxed with GGA-PBE, using Cu Kα (λ = 1.5418 Å).

The 6 most intense peaks (2θ from 5° to 70°), in order of rising 2θ:
- 23.3 deg, d = 3.811 Å, I 16, hkl 1 1 0
- 23.5 deg, d = 3.782 Å, I 15, hkl 0 1 3
- 38.7 deg, d = 2.329 Å, I 100, hkl 2 0 0
- 39.1 deg, d = 2.303 Å, I 18, hkl 0 0 6
- 56.1 deg, d = 1.638 Å, I 13, hkl 2 0 6
- 70.0 deg, d = 1.345 Å, I 21, hkl 3 2 3

Structural model:
```
data_Hf6Hg2Rh
_cell_length_a 4.660
_cell_length_b 6.622
_cell_length_c 13.821
_cell_angle_alpha 90.00
_cell_angle_beta 90.00
_cell_angle_gamma 90.00
_symmetry_space_group_name_H-M 'I m m m'
_symmetry_Int_Tables_number 71
_symmetry_space_group_name_Hall '-I 2 2'
loop_
_atom_site_label
_atom_site_fract_x
_atom_site_fract_y
_atom_site_fract_z
Hf1 0.000 0.236 0.000
Hf2 0.000 0.258 0.344
Hg1 0.000 0.500 0.171
Rh1 0.000 0.500 0.500
```

---

Record 8
The following is a theoretical X-ray powder pattern of HfHgRuRh. It was derived from a crystal structure in Alexandria, relaxed with GGA-PBE, using Cu Kα (λ = 1.5418 Å).

The 5 most intense peaks (2θ from 5° to 70°), in order of rising 2θ:
- 27.5 deg, d = 3.243 Å, I 10, hkl 2 0 0
- 39.3 deg, d = 2.293 Å, I 100, hkl 2 2 0
- 48.6 deg, d = 1.872 Å, I 3, hkl 2 2 2
- 56.8 deg, d = 1.621 Å, I 17, hkl 4 0 0
- 64.2 deg, d = 1.450 Å, I 4, hkl 4 2 0

Structural model:
```
data_HfHgRuRh
_cell_length_a 6.485
_cell_length_b 6.485
_cell_length_c 6.485
_cell_angle_alpha 90.00
_cell_angle_beta 90.00
_cell_angle_gamma 90.00
_symmetry_space_group_name_H-M 'F -4 3 m'
_symmetry_Int_Tables_number 216
_symmetry_space_group_name_Hall 'F -4 2 3'
loop_
_atom_site_label
_atom_site_fract_x
_atom_site_fract_y
_atom_site_fract_z
Hf1 0.000 0.000 0.000
Hg1 0.000 0.000 0.500
Ru1 0.250 0.250 0.750
Rh1 0.250 0.250 0.250
```